Computed powder XRD pattern of SmYCo17 for CuKα, from a GGA-PBE-relaxed structure.
Neutral-atom scattering factors, no anomalous dispersion.

Principal peaks in the range 2θ from 5° to 70°, in order of rising 2θ:
hkl 3 0 0, 37.34°, 2.408 Å, I = 37; hkl 0 2 4, 38.77°, 2.323 Å, I = 33; hkl 2 2 0, 43.38°, 2.086 Å, I = 68; hkl 3 0 3, 43.75°, 2.069 Å, I = 100; hkl 0 0 6, 44.82°, 2.022 Å, I = 34; hkl 2 2 3, 49.15°, 1.854 Å, I = 36

```
data_SmYCo17
_chemical_formula_sum 'Sm3 Y3 Co51'
_cell_length_a 8.3428
_cell_length_b 8.3428
_cell_length_c 12.1320
_cell_angle_alpha 90.00
_cell_angle_beta 90.00
_cell_angle_gamma 120.00
_space_group_name_H-M_alt 'R 3 m'
_space_group_IT_number 160
_space_group_name_Hall 'R 3 -2"'
loop_
_atom_site_label
_atom_site_type_symbol
_atom_site_fract_x
_atom_site_fract_y
_atom_site_fract_z
Sm1 Sm 0.0000 0.0000 0.0000
Y1 Y 0.0000 0.0000 0.3124
Co1 Co 0.0000 0.0000 0.5594
Co2 Co 0.0000 0.0000 0.7514
Co3 Co 0.9995 0.2869 0.6555
Co4 Co 0.0008 0.5004 0.1553
Co5 Co 0.0026 0.5013 0.5025
Co6 Co 0.1683 0.3366 0.1427
```